# 1
Starting from a structure optimized by DFT (PBE), the powder X-ray diffraction pattern of NdMg5Cu2 was simulated for λ = 1.5418 Å (Cu Kα).
Intensities are scaled so that the largest is 100.

Structure:
Cell lengths 4.2721, 8.0493, 10.0143 Å; angles 90.00, 90.00, 90.00 degrees
Space group Immm (No. 71)
Unique sites:
Nd: 0.0000 0.0000 0.0000 (multiplicity 2)
Mg: 0.0000 0.1876 0.3416 (multiplicity 8)
Mg: 0.0000 0.5000 0.0000 (multiplicity 2)
Cu: 0.0000 0.5000 0.2651 (multiplicity 4)

Principal peaks in the range 2θ = 10–80°, in order of rising 2θ:
2θ = 14.12°, intensity 58.6; 2θ = 22.09°, intensity 50.5; 2θ = 29.64°, intensity 100.0; 2θ = 31.83°, intensity 56.3; 2θ = 34.09°, intensity 58.5; 2θ = 42.31°, intensity 27.9; 2θ = 42.53°, intensity 39.2; 2θ = 43.75°, intensity 51.5



# 2
Starting from a structure optimized by DFT (PBE), the powder X-ray diffraction pattern of CsNp4Ir3S12 was simulated for λ = 1.5418 Å (Cu Kα).
Intensities are scaled so that the largest is 100.

Structure:
Cell lengths 9.7396, 9.7396, 9.7396 Å; angles 90.00, 90.00, 90.00 degrees
Space group Im-3 (No. 204)
Unique sites:
Cs: 0.0000 0.0000 0.0000 (multiplicity 2)
Np: 0.2500 0.2500 0.2500 (multiplicity 8)
Ir: 0.0000 0.0000 0.5000 (multiplicity 6)
S: 0.0000 0.3260 0.1653 (multiplicity 24)

Principal peaks in the range 2θ = 10–80°, in order of rising 2θ:
2θ = 25.87°, intensity 100.0; 2θ = 36.92°, intensity 23.6; 2θ = 41.46°, intensity 2.7; 2θ = 45.63°, intensity 57.4; 2θ = 53.20°, intensity 14.8; 2θ = 60.08°, intensity 22.8; 2θ = 66.51°, intensity 6.1; 2θ = 72.65°, intensity 23.8



# 3
Starting from a structure optimized by DFT (PBE), the powder X-ray diffraction pattern of RbTlAgBr6 was simulated for λ = 1.5418 Å (Cu Kα).
Intensities are scaled so that the largest is 100.

Structure:
Cell lengths 7.7539, 11.9261, 7.5680 Å; angles 90.00, 96.14, 90.00 degrees
Space group C2 (No. 5)
Unique sites:
Rb: 0.0000 0.0000 0.0000 (multiplicity 2)
Tl: 0.0000 0.3377 0.5000 (multiplicity 2)
Ag: 0.0000 0.6854 0.5000 (multiplicity 2)
Br: 0.1119 0.5236 0.7211 (multiplicity 4)
Br: 0.1803 0.2061 0.7416 (multiplicity 4)
Br: 0.1912 0.8355 0.6883 (multiplicity 4)

Principal peaks in the range 2θ = 10–80°, in order of rising 2θ:
2θ = 11.76°, intensity 100.0; 2θ = 17.25°, intensity 47.4; 2θ = 18.99°, intensity 57.4; 2θ = 24.80°, intensity 55.9; 2θ = 28.43°, intensity 79.6; 2θ = 31.40°, intensity 48.3; 2θ = 35.70°, intensity 80.2; 2θ = 41.84°, intensity 66.7



# 4
Starting from a structure optimized by DFT (PBE), the powder X-ray diffraction pattern of Tb6DyTh was simulated for λ = 1.5418 Å (Cu Kα).
Intensities are scaled so that the largest is 100.

Structure:
Cell lengths 5.0420, 5.0420, 10.0337 Å; angles 90.00, 90.00, 90.00 degrees
Space group P4/mmm (No. 123)
Unique sites:
Tb: 0.0000 0.0000 0.0000 (multiplicity 1)
Tb: 0.0000 0.0000 0.5000 (multiplicity 1)
Tb: 0.0000 0.5000 0.2479 (multiplicity 4)
Dy: 0.5000 0.5000 0.5000 (multiplicity 1)
Th: 0.5000 0.5000 0.0000 (multiplicity 1)

Principal peaks in the range 2θ = 10–80°, in order of rising 2θ:
2θ = 30.77°, intensity 100.0; 2θ = 35.61°, intensity 34.0; 2θ = 35.80°, intensity 16.7; 2θ = 51.25°, intensity 12.2; 2θ = 51.39°, intensity 24.1; 2θ = 60.97°, intensity 28.9; 2θ = 61.22°, intensity 14.2; 2θ = 64.08°, intensity 12.4